1.
The following is a computed PXRD pattern of Pm7Si2O2. It was derived from a PBE-relaxed structure, using Cu Ka.

Structure:
```
data_Pm7Si2O2
_cell_length_a 12.430
_cell_length_b 7.167
_cell_length_c 6.357
_cell_angle_alpha 90.00
_cell_angle_beta 99.07
_cell_angle_gamma 90.00
_symmetry_space_group_name_H-M 'C 1 2/m 1'
_symmetry_Int_Tables_number 12
_symmetry_space_group_name_Hall '-C 2y'
loop_
_atom_site_label
_atom_site_fract_x
_atom_site_fract_y
_atom_site_fract_z
Pm1 0.000 0.000 0.000
Pm2 0.043 0.500 0.269
Pm3 0.217 0.254 0.755
Si1 0.000 0.161 0.500
O1 0.194 0.000 0.020
```

Principal peaks in the range 5° ≤ 2θ ≤ 70°, in order of rising 2θ:
d_spacing	I (rel.)	(hkl)
3.139	27	0 0 2
3.095	100	2 2 0
3.069	35	4 0 0
2.946	34	4 0 -1
2.894	26	1 1 -2
2.868	29	2 2 -1
2.714	18	1 1 2
2.297	28	2 2 -2
2.121	20	2 2 2
1.775	31	6 2 -1

2.
The following is a computed PXRD pattern of PmSmO3. It was derived from a PBE-relaxed structure, using Cu Ka.

Structure:
```
data_PmSmO3
_cell_length_a 6.1618
_cell_length_b 6.1618
_cell_length_c 3.1650
_cell_angle_alpha 90.00
_cell_angle_beta 90.00
_cell_angle_gamma 120.00
_symmetry_space_group_name_H-M 'P -6 m 2'
_symmetry_Int_Tables_number 187
_symmetry_space_group_name_Hall 'P -6 2'
loop_
_atom_site_label
_atom_site_fract_x
_atom_site_fract_y
_atom_site_fract_z
Pm1 0.0000 0.0000 0.0000
Sm1 0.6667 0.3333 0.0000
O1 0.3347 0.1674 0.5000
```

Principal peaks in the range 5° ≤ 2θ ≤ 70°, in order of rising 2θ:
d_spacing	I (rel.)	(hkl)
5.336	100	1 0 0
3.165	20	0 0 1
3.081	73	1 1 0
2.722	23	1 0 1
2.208	72	1 1 1
2.040	22	2 0 1
2.017	15	2 1 0
1.779	15	3 0 0
1.551	24	3 0 1
1.408	14	1 1 2